Theoretical X-ray diffraction stick pattern
Compound: Sr2CeSbO6
Radiation: a wavelength of 1.5418 Å
Structure: a GGA-PBE-relaxed structure

Top 8 peaks for 10 to 80 degrees two-theta, in order of falling intensity:
two_theta	I/Imax
29.45	100
52.23	40
42.13	32
61.10	20
69.26	18
20.71	11
77.00	6
47.39	4

Cell and atoms:
```
10
Lattice="0.0000 4.2898 4.2898 4.2898 0.0000 4.2898 4.2898 4.2898 0.0000" Properties=species:S:1:pos:R:3 pbc="T T T"
Sr 2.1449 2.1449 2.1449
Sr 6.4347 6.4347 6.4347
Ce 0.0000 0.0000 0.0000
Sb 4.2898 4.2898 4.2898
O 4.2898 4.2898 2.2827
O 4.2898 2.2827 4.2898
O 6.2969 4.2898 4.2898
O 2.2827 4.2898 4.2898
O 4.2898 6.2969 4.2898
O 4.2898 4.2898 6.2969
```